Entry 1:
For Mg3Si4, a cell relaxed with PBE gives the calculated PXRD pattern in this record (Cu Kα).
Peak positions follow from Bragg's law for the DFT cell and can differ from measured ones.

Most intense lines, 10° ≤ 2θ ≤ 90°, sorted by position:
8.153 Å, 2θ = 10.85°, I 11; 2.773 Å, 2θ = 32.28°, I 15; 2.307 Å, 2θ = 39.04°, I 37; 2.291 Å, 2θ = 39.33°, I 100; 2.264 Å, 2θ = 39.82°, I 17; 2.245 Å, 2θ = 40.16°, I 17; 1.609 Å, 2θ = 57.25°, I 12; 1.329 Å, 2θ = 70.92°, I 17

Structural model:
```
data_Mg3Si4
_chemical_formula_sum 'Mg12 Si16'
_cell_length_a 13.4717
_cell_length_b 4.6143
_cell_length_c 8.4561
_cell_angle_alpha 90.00
_cell_angle_beta 105.38
_cell_angle_gamma 90.00
_symmetry_space_group_name_H-M 'C 1 m 1'
_symmetry_Int_Tables_number 8
_symmetry_space_group_name_Hall 'C -2y'
loop_
_atom_site_label
_atom_site_type_symbol
_atom_site_fract_x
_atom_site_fract_y
_atom_site_fract_z
Mg1 Mg 0.0000 0.0000 0.0000
Mg2 Mg 0.0314 0.0000 0.3594
Mg3 Mg 0.0724 0.5000 0.6084
Mg4 Mg 0.2250 0.5000 0.3934
Mg5 Mg 0.2873 0.5000 0.7890
Mg6 Mg 0.3669 0.0000 0.3660
Si1 Si 0.0329 0.5000 0.1832
Si2 Si 0.1297 0.5000 0.9615
Si3 Si 0.1420 0.0000 0.8248
Si4 Si 0.2266 0.0000 0.5867
Si5 Si 0.3074 0.5000 0.1239
Si6 Si 0.3502 0.0000 0.0270
Si7 Si 0.4087 0.0000 0.7531
Si8 Si 0.4567 0.5000 0.6463
```



Entry 2:
For Mg4Si3, a cell relaxed with PBE gives the calculated PXRD pattern in this record (Cu Kα).
Peak positions follow from Bragg's law for the DFT cell and can differ from measured ones.

Most intense lines, 10° ≤ 2θ ≤ 90°, sorted by position:
2.665 Å, 2θ = 33.62°, I 85; 2.580 Å, 2θ = 34.77°, I 70; 2.534 Å, 2θ = 35.42°, I 90; 2.440 Å, 2θ = 36.84°, I 96; 2.381 Å, 2θ = 37.78°, I 100; 2.281 Å, 2θ = 39.51°, I 83; 2.270 Å, 2θ = 39.71°, I 85; 2.234 Å, 2θ = 40.38°, I 74

Structural model:
```
data_Mg4Si3
_chemical_formula_sum 'Mg8 Si6'
_cell_length_a 5.4876
_cell_length_b 6.9367
_cell_length_c 8.2263
_cell_angle_alpha 108.02
_cell_angle_beta 103.94
_cell_angle_gamma 103.51
_symmetry_space_group_name_H-M 'P 1'
_symmetry_Int_Tables_number 1
_symmetry_space_group_name_Hall 'P 1'
loop_
_atom_site_label
_atom_site_type_symbol
_atom_site_fract_x
_atom_site_fract_y
_atom_site_fract_z
Mg1 Mg 0.0000 0.0000 0.0000
Mg2 Mg 0.9997 0.2282 0.4384
Mg3 Mg 0.2978 0.9032 0.3058
Mg4 Mg 0.3648 0.0639 0.7675
Mg5 Mg 0.4779 0.4167 0.3150
Mg6 Mg 0.4837 0.6052 0.8255
Mg7 Mg 0.7564 0.8850 0.5811
Mg8 Mg 0.8843 0.4348 0.1251
Si1 Si 0.0435 0.3115 0.8382
Si2 Si 0.1897 0.6505 0.4999
Si3 Si 0.5395 0.0393 0.0884
Si4 Si 0.6202 0.2743 0.6069
Si5 Si 0.7424 0.8050 0.2184
Si6 Si 0.9658 0.6172 0.7269
```



Entry 3:
For Mg3Si4, a cell relaxed with PBE gives the calculated PXRD pattern in this record (Cu Kα).
Peak positions follow from Bragg's law for the DFT cell and can differ from measured ones.

Most intense lines, 10° ≤ 2θ ≤ 90°, sorted by position:
2.700 Å, 2θ = 33.18°, I 57; 2.607 Å, 2θ = 34.40°, I 60; 2.543 Å, 2θ = 35.29°, I 100; 2.432 Å, 2θ = 36.96°, I 39; 2.329 Å, 2θ = 38.66°, I 38; 2.202 Å, 2θ = 40.99°, I 62; 2.173 Å, 2θ = 41.56°, I 44; 2.066 Å, 2θ = 43.83°, I 67

Structural model:
```
data_Mg3Si4
_chemical_formula_sum 'Mg6 Si8'
_cell_length_a 4.1336
_cell_length_b 7.7916
_cell_length_c 8.5373
_cell_angle_alpha 74.55
_cell_angle_beta 77.65
_cell_angle_gamma 89.39
_symmetry_space_group_name_H-M 'P 1'
_symmetry_Int_Tables_number 1
_symmetry_space_group_name_Hall 'P 1'
loop_
_atom_site_label
_atom_site_type_symbol
_atom_site_fract_x
_atom_site_fract_y
_atom_site_fract_z
Mg1 Mg 0.0000 0.0000 0.0000
Mg2 Mg 0.0541 0.4283 0.8721
Mg3 Mg 0.3739 0.8083 0.2809
Mg4 Mg 0.5700 0.7754 0.8635
Mg5 Mg 0.7899 0.5287 0.5284
Mg6 Mg 0.8879 0.2166 0.2992
Si1 Si 0.0650 0.0672 0.6506
Si2 Si 0.2102 0.7553 0.6333
Si3 Si 0.3324 0.3414 0.4604
Si4 Si 0.4371 0.4625 0.1406
Si5 Si 0.4732 0.1820 0.0689
Si6 Si 0.5532 0.2024 0.7662
Si7 Si 0.7668 0.8879 0.4938
Si8 Si 0.9410 0.6403 0.1263
```